For Mg14TiSnO16, a structure optimized by DFT (PBE) gives the simulated PXRD pattern in this record (copper Kα).
Lines closer than 0.1° are merged.

Crystal structure
```
data_Mg14TiSnO16
_cell_length_a 4.356
_cell_length_b 8.721
_cell_length_c 8.757
_cell_angle_alpha 90.00
_cell_angle_beta 90.00
_cell_angle_gamma 90.00
_symmetry_space_group_name_H-M 'P m m m'
_symmetry_Int_Tables_number 47
loop_
_symmetry_equiv_pos_as_xyz
'x,y,z'
'-x,-y,-z'
'-x,-y,z'
'x,y,-z'
'x,-y,-z'
'-x,y,z'
'-x,y,-z'
'x,-y,z'
loop_
_atom_site_label
_atom_site_type_symbol
_atom_site_fract_x
_atom_site_fract_y
_atom_site_fract_z
Mg1 Mg 0.000 0.000 0.000
Mg2 Mg 0.000 0.000 0.500
Mg3 Mg 0.000 0.244 0.246
Mg4 Mg 0.500 0.000 0.249
Mg5 Mg 0.500 0.240 0.500
Mg6 Mg 0.500 0.246 0.000
Mg7 Mg 0.500 0.500 0.244
Ti1 Ti 0.000 0.500 0.000
Sn1 Sn 0.000 0.500 0.500
O1 O 0.000 0.000 0.246
O2 O 0.000 0.227 0.500
O3 O 0.000 0.242 0.000
O4 O 0.000 0.500 0.234
O5 O 0.500 0.000 0.000
O6 O 0.500 0.000 0.500
O7 O 0.500 0.251 0.250
O8 O 0.500 0.500 0.000
O9 O 0.500 0.500 0.500
```

Main lines, in order of rising 2θ (2θ = 15–90°):
2theta, d [Å], Rel. int., hkl
35.6, 2.520, 36, 1 2 2
41.2, 2.189, 51, 0 0 4
41.4, 2.179, 100, 2 0 0
59.9, 1.544, 58, 2 0 4
60.0, 1.541, 29, 2 4 0
75.4, 1.260, 27, 2 4 4

***

For YMg14SnO16, a structure optimized by DFT (PBE) gives the simulated PXRD pattern in this record (copper Kα).
Lines closer than 0.1° are merged.

Crystal structure
```
data_YMg14SnO16
_cell_length_a 8.843
_cell_length_b 8.843
_cell_length_c 4.451
_cell_angle_alpha 90.00
_cell_angle_beta 90.00
_cell_angle_gamma 90.00
_symmetry_space_group_name_H-M 'P 4/m m m'
_symmetry_Int_Tables_number 123
_symmetry_space_group_name_Hall '-P 4 2'
loop_
_atom_site_label
_atom_site_type_symbol
_atom_site_fract_x
_atom_site_fract_y
_atom_site_fract_z
Y1 Y 0.000 0.000 0.000
Mg1 Mg 0.000 0.262 0.500
Mg2 Mg 0.000 0.500 0.000
Mg3 Mg 0.243 0.500 0.500
Mg4 Mg 0.253 0.253 0.000
Sn1 Sn 0.500 0.500 0.000
O1 O 0.000 0.000 0.500
O2 O 0.000 0.256 0.000
O3 O 0.000 0.500 0.500
O4 O 0.227 0.500 0.000
O5 O 0.251 0.251 0.500
O6 O 0.500 0.500 0.500
```

Main lines, in order of rising 2θ (2θ = 15–90°):
2theta, d [Å], Rel. int., hkl
24.5, 3.626, 29, 1 1 1
28.5, 3.133, 31, 2 2 0
35.1, 2.558, 43, 2 2 1
40.5, 2.226, 52, 0 0 2
40.8, 2.211, 100, 4 0 0
58.9, 1.568, 60, 4 0 2

***

For YMg6SnO8, a structure optimized by DFT (PBE) gives the simulated PXRD pattern in this record (copper Kα).
Lines closer than 0.1° are merged.

Crystal structure
```
data_YMg6SnO8
_cell_length_a 4.581
_cell_length_b 4.581
_cell_length_c 9.184
_cell_angle_alpha 90.00
_cell_angle_beta 90.00
_cell_angle_gamma 90.00
_symmetry_space_group_name_H-M 'P 4/m m m'
_symmetry_Int_Tables_number 123
_symmetry_space_group_name_Hall '-P 4 2'
loop_
_atom_site_label
_atom_site_type_symbol
_atom_site_fract_x
_atom_site_fract_y
_atom_site_fract_z
Y1 Y 0.000 0.000 0.000
Mg1 Mg 0.000 0.000 0.500
Mg2 Mg 0.000 0.500 0.276
Mg3 Mg 0.500 0.500 0.500
Sn1 Sn 0.500 0.500 0.000
O1 O 0.000 0.000 0.258
O2 O 0.000 0.500 0.000
O3 O 0.000 0.500 0.500
O4 O 0.500 0.500 0.279
```

Main lines, in order of rising 2θ (2θ = 15–90°):
2theta, d [Å], Rel. int., hkl
19.3, 4.592, 37, 0 0 2
29.2, 3.057, 77, 0 0 3
33.9, 2.647, 65, 1 1 2
39.2, 2.296, 44, 0 0 4
39.3, 2.290, 100, 2 0 0
56.8, 1.621, 86, 2 2 0

***

For YMg14SnO16, a structure optimized by DFT (PBE) gives the simulated PXRD pattern in this record (copper Kα).
Lines closer than 0.1° are merged.

Crystal structure
```
data_YMg14SnO16
_cell_length_a 4.452
_cell_length_b 8.824
_cell_length_c 8.948
_cell_angle_alpha 90.00
_cell_angle_beta 90.00
_cell_angle_gamma 90.00
_symmetry_space_group_name_H-M 'P m m m'
_symmetry_Int_Tables_number 47
loop_
_symmetry_equiv_pos_as_xyz
'x,y,z'
'-x,-y,-z'
'-x,-y,z'
'x,y,-z'
'x,-y,-z'
'-x,y,z'
'-x,y,-z'
'x,-y,z'
loop_
_atom_site_label
_atom_site_type_symbol
_atom_site_fract_x
_atom_site_fract_y
_atom_site_fract_z
Y1 Y 0.000 0.000 0.000
Mg1 Mg 0.000 0.262 0.254
Mg2 Mg 0.000 0.500 0.000
Mg3 Mg 0.000 0.500 0.500
Mg4 Mg 0.500 0.000 0.255
Mg5 Mg 0.500 0.262 0.500
Mg6 Mg 0.500 0.264 0.000
Mg7 Mg 0.500 0.500 0.251
Sn1 Sn 0.000 0.000 0.500
O1 O 0.000 0.000 0.241
O2 O 0.000 0.260 0.000
O3 O 0.000 0.274 0.500
O4 O 0.000 0.500 0.246
O5 O 0.500 0.000 0.000
O6 O 0.500 0.000 0.500
O7 O 0.500 0.248 0.251
O8 O 0.500 0.500 0.000
O9 O 0.500 0.500 0.500
```

Main lines, in order of rising 2θ (2θ = 15–90°):
2theta, d [Å], Rel. int., hkl
22.3, 3.983, 64, 1 1 0
35.0, 2.567, 81, 1 2 2
40.3, 2.237, 100, 0 0 4
40.5, 2.226, 99, 2 0 0
40.9, 2.206, 92, 0 4 0
58.5, 1.578, 59, 2 0 4

***

For YMg6SnO8, a structure optimized by DFT (PBE) gives the simulated PXRD pattern in this record (copper Kα).
Lines closer than 0.1° are merged.

Crystal structure
```
data_YMg6SnO8
_cell_length_a 4.582
_cell_length_b 4.582
_cell_length_c 9.251
_cell_angle_alpha 90.00
_cell_angle_beta 90.00
_cell_angle_gamma 90.00
_symmetry_space_group_name_H-M 'P 4/m m m'
_symmetry_Int_Tables_number 123
_symmetry_space_group_name_Hall '-P 4 2'
loop_
_atom_site_label
_atom_site_type_symbol
_atom_site_fract_x
_atom_site_fract_y
_atom_site_fract_z
Y1 Y 0.000 0.000 0.000
Mg1 Mg 0.000 0.500 0.258
Mg2 Mg 0.500 0.500 0.000
Mg3 Mg 0.500 0.500 0.500
Sn1 Sn 0.000 0.000 0.500
O1 O 0.000 0.000 0.240
O2 O 0.000 0.500 0.000
O3 O 0.000 0.500 0.500
O4 O 0.500 0.500 0.263
```

Main lines, in order of rising 2θ (2θ = 15–90°):
2theta, d [Å], Rel. int., hkl
19.4, 4.582, 63, 1 0 0
27.4, 3.255, 55, 1 0 2
33.8, 2.654, 67, 1 1 2
38.9, 2.313, 51, 0 0 4
39.3, 2.291, 100, 2 0 0
56.5, 1.628, 62, 2 0 4

***

For Mg6ZnSnO8, a structure optimized by DFT (PBE) gives the simulated PXRD pattern in this record (copper Kα).
Lines closer than 0.1° are merged.

Crystal structure
```
data_Mg6ZnSnO8
_cell_length_a 4.439
_cell_length_b 4.439
_cell_length_c 8.869
_cell_angle_alpha 90.00
_cell_angle_beta 90.00
_cell_angle_gamma 90.00
_symmetry_space_group_name_H-M 'P 4/m m m'
_symmetry_Int_Tables_number 123
_symmetry_space_group_name_Hall '-P 4 2'
loop_
_atom_site_label
_atom_site_type_symbol
_atom_site_fract_x
_atom_site_fract_y
_atom_site_fract_z
Mg1 Mg 0.000 0.000 0.000
Mg2 Mg 0.000 0.500 0.237
Mg3 Mg 0.500 0.500 0.000
Zn1 Zn 0.000 0.000 0.500
Sn1 Sn 0.500 0.500 0.500
O1 O 0.000 0.000 0.240
O2 O 0.000 0.500 0.000
O3 O 0.000 0.500 0.500
O4 O 0.500 0.500 0.228
```

Main lines, in order of rising 2θ (2θ = 15–90°):
2theta, d [Å], Rel. int., hkl
20.0, 4.436, 23, 0 0 2
30.2, 2.958, 39, 0 0 3
35.0, 2.562, 42, 1 1 2
40.7, 2.219, 100, 2 0 0
58.9, 1.569, 60, 2 2 0
70.4, 1.338, 21, 3 1 2

***

For Mg6ZnSnO8, a structure optimized by DFT (PBE) gives the simulated PXRD pattern in this record (copper Kα).
Lines closer than 0.1° are merged.

Crystal structure
```
data_Mg6ZnSnO8
_cell_length_a 4.464
_cell_length_b 4.464
_cell_length_c 8.792
_cell_angle_alpha 90.00
_cell_angle_beta 90.00
_cell_angle_gamma 90.00
_symmetry_space_group_name_H-M 'P 4/m m m'
_symmetry_Int_Tables_number 123
_symmetry_space_group_name_Hall '-P 4 2'
loop_
_atom_site_label
_atom_site_type_symbol
_atom_site_fract_x
_atom_site_fract_y
_atom_site_fract_z
Mg1 Mg 0.000 0.000 0.000
Mg2 Mg 0.000 0.000 0.500
Mg3 Mg 0.000 0.500 0.238
Zn1 Zn 0.500 0.500 0.000
Sn1 Sn 0.500 0.500 0.500
O1 O 0.000 0.000 0.249
O2 O 0.000 0.500 0.000
O3 O 0.000 0.500 0.500
O4 O 0.500 0.500 0.231
```

Main lines, in order of rising 2θ (2θ = 15–90°):
2theta, d [Å], Rel. int., hkl
19.9, 4.464, 53, 1 0 0
28.5, 3.132, 46, 1 0 2
35.0, 2.564, 61, 1 1 2
40.4, 2.232, 100, 2 0 0
41.1, 2.198, 46, 0 0 4
59.0, 1.566, 57, 2 0 4

***

For Mg14ZnSnO16, a structure optimized by DFT (PBE) gives the simulated PXRD pattern in this record (copper Kα).
Lines closer than 0.1° are merged.

Crystal structure
```
data_Mg14ZnSnO16
_cell_length_a 4.371
_cell_length_b 8.640
_cell_length_c 8.700
_cell_angle_alpha 90.00
_cell_angle_beta 90.00
_cell_angle_gamma 90.00
_symmetry_space_group_name_H-M 'P m m m'
_symmetry_Int_Tables_number 47
loop_
_symmetry_equiv_pos_as_xyz
'x,y,z'
'-x,-y,-z'
'-x,-y,z'
'x,y,-z'
'x,-y,-z'
'-x,y,z'
'-x,y,-z'
'x,-y,z'
loop_
_atom_site_label
_atom_site_type_symbol
_atom_site_fract_x
_atom_site_fract_y
_atom_site_fract_z
Mg1 Mg 0.000 0.000 0.000
Mg2 Mg 0.000 0.245 0.245
Mg3 Mg 0.000 0.500 0.000
Mg4 Mg 0.500 0.000 0.249
Mg5 Mg 0.500 0.240 0.500
Mg6 Mg 0.500 0.248 0.000
Mg7 Mg 0.500 0.500 0.241
Zn1 Zn 0.000 0.000 0.500
Sn1 Sn 0.000 0.500 0.500
O1 O 0.000 0.000 0.240
O2 O 0.000 0.230 0.500
O3 O 0.000 0.247 0.000
O4 O 0.000 0.500 0.229
O5 O 0.500 0.000 0.000
O6 O 0.500 0.000 0.500
O7 O 0.500 0.250 0.251
O8 O 0.500 0.500 0.000
O9 O 0.500 0.500 0.500
```

Main lines, in order of rising 2θ (2θ = 15–90°):
2theta, d [Å], Rel. int., hkl
35.8, 2.510, 77, 1 2 2
41.3, 2.186, 100, 2 0 0
41.5, 2.175, 96, 0 0 4
41.8, 2.160, 95, 0 4 0
60.0, 1.542, 57, 2 0 4
60.2, 1.536, 57, 2 4 0

***

For Mg14ZnSnO16, a structure optimized by DFT (PBE) gives the simulated PXRD pattern in this record (copper Kα).
Lines closer than 0.1° are merged.

Crystal structure
```
data_Mg14ZnSnO16
_cell_length_a 8.667
_cell_length_b 8.667
_cell_length_c 4.367
_cell_angle_alpha 90.00
_cell_angle_beta 90.00
_cell_angle_gamma 90.00
_symmetry_space_group_name_H-M 'P 4/m m m'
_symmetry_Int_Tables_number 123
_symmetry_space_group_name_Hall '-P 4 2'
loop_
_atom_site_label
_atom_site_type_symbol
_atom_site_fract_x
_atom_site_fract_y
_atom_site_fract_z
Mg1 Mg 0.000 0.249 0.000
Mg2 Mg 0.000 0.500 0.500
Mg3 Mg 0.241 0.500 0.000
Mg4 Mg 0.245 0.245 0.500
Zn1 Zn 0.000 0.000 0.500
Sn1 Sn 0.500 0.500 0.500
O1 O 0.000 0.000 0.000
O2 O 0.000 0.250 0.500
O3 O 0.000 0.500 0.000
O4 O 0.228 0.500 0.500
O5 O 0.250 0.250 0.000
O6 O 0.500 0.500 0.000
```

Main lines, in order of rising 2θ (2θ = 15–90°):
2theta, d [Å], Rel. int., hkl
35.8, 2.508, 40, 2 2 1
41.3, 2.184, 52, 0 0 2
41.7, 2.167, 100, 4 0 0
60.2, 1.538, 60, 4 0 2
60.4, 1.532, 29, 4 4 0
75.9, 1.254, 27, 4 4 2

***

For SrMgO2, a structure optimized by DFT (PBE) gives the simulated PXRD pattern in this record (copper Kα).
Lines closer than 0.1° are merged.

Crystal structure
```
data_SrMgO2
_cell_length_a 3.3565
_cell_length_b 3.3565
_cell_length_c 16.5645
_cell_angle_alpha 90.00
_cell_angle_beta 90.00
_cell_angle_gamma 120.00
_symmetry_space_group_name_H-M 'R -3 m'
_symmetry_Int_Tables_number 166
_symmetry_space_group_name_Hall '-R 3 2"'
loop_
_atom_site_label
_atom_site_type_symbol
_atom_site_fract_x
_atom_site_fract_y
_atom_site_fract_z
Sr1 Sr 0.0000 0.0000 0.0000
Mg1 Mg 0.0000 0.0000 0.5000
O1 O 0.0000 0.0000 0.2377
```

Main lines, in order of rising 2θ (2θ = 15–90°):
2theta, d [Å], Rel. int., hkl
16.1, 5.522, 38, 0 0 3
31.2, 2.863, 34, 1 0 1
32.6, 2.743, 46, 0 1 2
37.8, 2.379, 100, 1 0 4
54.4, 1.686, 30, 0 1 8
54.7, 1.678, 32, 1 1 0

***

Repeat the fourth record exactly.
For YMg14SnO16, a structure optimized by DFT (PBE) gives the simulated PXRD pattern in this record (copper Kα).
Lines closer than 0.1° are merged.

Crystal structure
```
data_YMg14SnO16
_cell_length_a 4.452
_cell_length_b 8.824
_cell_length_c 8.948
_cell_angle_alpha 90.00
_cell_angle_beta 90.00
_cell_angle_gamma 90.00
_symmetry_space_group_name_H-M 'P m m m'
_symmetry_Int_Tables_number 47
loop_
_symmetry_equiv_pos_as_xyz
'x,y,z'
'-x,-y,-z'
'-x,-y,z'
'x,y,-z'
'x,-y,-z'
'-x,y,z'
'-x,y,-z'
'x,-y,z'
loop_
_atom_site_label
_atom_site_type_symbol
_atom_site_fract_x
_atom_site_fract_y
_atom_site_fract_z
Y1 Y 0.000 0.000 0.000
Mg1 Mg 0.000 0.262 0.254
Mg2 Mg 0.000 0.500 0.000
Mg3 Mg 0.000 0.500 0.500
Mg4 Mg 0.500 0.000 0.255
Mg5 Mg 0.500 0.262 0.500
Mg6 Mg 0.500 0.264 0.000
Mg7 Mg 0.500 0.500 0.251
Sn1 Sn 0.000 0.000 0.500
O1 O 0.000 0.000 0.241
O2 O 0.000 0.260 0.000
O3 O 0.000 0.274 0.500
O4 O 0.000 0.500 0.246
O5 O 0.500 0.000 0.000
O6 O 0.500 0.000 0.500
O7 O 0.500 0.248 0.251
O8 O 0.500 0.500 0.000
O9 O 0.500 0.500 0.500
```

Main lines, in order of rising 2θ (2θ = 15–90°):
2theta, d [Å], Rel. int., hkl
22.3, 3.983, 64, 1 1 0
35.0, 2.567, 81, 1 2 2
40.3, 2.237, 100, 0 0 4
40.5, 2.226, 99, 2 0 0
40.9, 2.206, 92, 0 4 0
58.5, 1.578, 59, 2 0 4